Simulated powder XRD pattern of Li4AcGa4 for Cu Kα, from DFT lattice parameters and positions (GGA-PBE).
Kinematic intensities with the Lorentz-polarization factor, no thermal factor.

Largest 10 diffraction maxima, sorted by position, 2θ = 15–90°:
d [Å], 2θ (°), I/Imax, (hkl)
5.131, 17.28, 96, 1 0 1
3.177, 28.09, 79, 1 1 2
3.075, 29.03, 27, 2 0 0
2.920, 30.62, 49, 2 0 1
2.769, 32.33, 69, 1 0 3
2.638, 33.99, 100, 2 1 1
2.566, 34.97, 24, 2 0 2
1.970, 46.07, 44, 2 2 2
1.710, 53.58, 33, 3 0 3
1.541, 60.02, 33, 2 1 5

Crystal structure
Unit cell a=6.1509 b=6.1509 c=9.3041 alpha=90.00 beta=90.00 gamma=90.00
Fractional coordinates of all 18 atoms:
Li  0.0160  0.2500  0.1546
Li  0.2500  0.0160  0.6546
Li  0.2500  0.4840  0.6546
Li  0.4840  0.2500  0.1546
Li  0.5160  0.7500  0.8454
Li  0.7500  0.5160  0.3454
Li  0.7500  0.9840  0.3454
Li  0.9840  0.7500  0.8454
Ac  0.2500  0.7500  0.2500
Ac  0.7500  0.2500  0.7500
Ga  0.0432  0.2500  0.4449
Ga  0.2500  0.0432  0.9449
Ga  0.2500  0.4568  0.9449
Ga  0.4568  0.2500  0.4449
Ga  0.5432  0.7500  0.5551
Ga  0.7500  0.5432  0.0551
Ga  0.7500  0.9568  0.0551
Ga  0.9568  0.7500  0.5551